For LiGa3Pt3, a cell relaxed with PBE gives the calculated powder diffraction line list in this record (λ = 1.5418 Å (Cu Kα)).
Lines closer than 0.1° are merged.

Structural model:
```
data_LiGa3Pt3
_chemical_formula_sum 'Li6 Ga18 Pt18'
_symmetry_space_group_name_H-M 'R -3'
_symmetry_Int_Tables_number 148
_symmetry_space_group_name_Hall '-R 3'
_cell_length_a 6.8698
_cell_length_b 6.8698
_cell_length_c 16.7711
_cell_angle_alpha 90.00
_cell_angle_beta 90.00
_cell_angle_gamma 120.00
loop_
_atom_site_label
_atom_site_type_symbol
_atom_site_fract_x
_atom_site_fract_y
_atom_site_fract_z
Li1 Li 0.0000 0.0000 0.1603
Ga1 Ga 0.0188 0.4124 0.3867
Pt1 Pt 0.0083 0.2585 0.5663
```

Main lines, by intensity (2θ from 5° to 70°):
- 2θ 41.63, rel. 100
- 2θ 25.94, rel. 47
- 2θ 30.55, rel. 46
- 2θ 45.78, rel. 46
- 2θ 32.01, rel. 38
- 2θ 40.47, rel. 38